Record 1
Diffraction record for TiNiOs. The powder diffractogram is calculated, not measured: it uses a cell relaxed with PBE and Cu Ka.
No peak broadening, texture or thermal motion is included.

Top 10 peaks for 10° ≤ 2θ ≤ 90°, most intense first:
43.6 deg, rel. 100, hkl 1 3 1; 44.1 deg, rel. 47, hkl 1 0 2; 21.1 deg, rel. 42, hkl 1 0 0; 37.7 deg, rel. 38, hkl 0 3 1; 43.0 deg, rel. 32, hkl 2 0 0; 58.5 deg, rel. 21, hkl 2 3 1; 21.7 deg, rel. 19, hkl 0 1 1; 38.3 deg, rel. 19, hkl 0 0 2; 84.7 deg, rel. 17, hkl 2 3 3; 79.3 deg, rel. 17, hkl 3 3 1

Cell and atoms:
```
data_TiNiOs
_chemical_formula_sum 'Ti4 Ni4 Os4'
_space_group_name_H-M_alt 'A m m 2'
_space_group_IT_number 38
_space_group_name_Hall 'A 2 -2'
_cell_length_a 4.2059
_cell_length_b 8.2959
_cell_length_c 4.7046
_cell_angle_alpha 90.00
_cell_angle_beta 90.00
_cell_angle_gamma 90.00
loop_
_atom_site_label
_atom_site_type_symbol
_atom_site_fract_x
_atom_site_fract_y
_atom_site_fract_z
Ti1 Ti 0.0000 0.1666 0.0000
Ni1 Ni 0.0000 0.0000 0.4735
Ni2 Ni 0.5000 0.0000 0.1664
Os1 Os 0.5000 0.1607 0.6534
```

Record 2
Diffraction record for TmNiOs. The powder diffractogram is calculated, not measured: it uses a cell relaxed with PBE and Cu Ka.
No peak broadening, texture or thermal motion is included.

Top 10 peaks for 10° ≤ 2θ ≤ 90°, most intense first:
41.4 deg, rel. 100, hkl 2 1 1; 39.8 deg, rel. 78, hkl 0 1 3; 34.3 deg, rel. 51, hkl 1 1 2; 41.1 deg, rel. 38, hkl 1 2 1; 72.3 deg, rel. 37, hkl 2 2 4; 34.9 deg, rel. 36, hkl 0 2 0; 42.9 deg, rel. 33, hkl 2 0 2; 42.5 deg, rel. 30, hkl 0 2 2; 67.1 deg, rel. 24, hkl 2 3 1; 64.2 deg, rel. 18, hkl 0 1 5

Cell and atoms:
```
data_TmNiOs
_chemical_formula_sum 'Tm4 Ni4 Os4'
_space_group_name_H-M_alt 'I m m a'
_space_group_IT_number 74
_space_group_name_Hall '-I 2b 2'
_cell_length_a 5.0826
_cell_length_b 5.1372
_cell_length_c 7.5678
_cell_angle_alpha 90.00
_cell_angle_beta 90.00
_cell_angle_gamma 90.00
loop_
_atom_site_label
_atom_site_type_symbol
_atom_site_fract_x
_atom_site_fract_y
_atom_site_fract_z
Tm1 Tm 0.0000 0.2500 0.1216
Ni1 Ni 0.0000 0.0000 0.5000
Os1 Os 0.2500 0.2500 0.7500
```

Record 3
Diffraction record for Tm4Ni3Os. The powder diffractogram is calculated, not measured: it uses a cell relaxed with PBE and Cu Ka.
No peak broadening, texture or thermal motion is included.

Top 10 peaks for 10° ≤ 2θ ≤ 90°, most intense first:
38.1 deg, rel. 100, hkl 1 1 0; 68.9 deg, rel. 35, hkl 3 0 0; 55.0 deg, rel. 17, hkl 2 0 8; 81.6 deg, rel. 11, hkl 2 2 0; 26.7 deg, rel. 9, hkl 1 0 4; 62.2 deg, rel. 4, hkl 2 1 4; 11.5 deg, rel. 4, hkl 0 0 3; 23.1 deg, rel. 3, hkl 0 1 2; 47.1 deg, rel. 3, hkl 0 2 4; 22.1 deg, rel. 3, hkl 1 0 1

Cell and atoms:
```
data_Tm4Ni3Os
_chemical_formula_sum 'Tm12 Ni9 Os3'
_space_group_name_H-M_alt 'R -3 m'
_space_group_IT_number 166
_space_group_name_Hall '-R 3 2"'
_cell_length_a 4.7235
_cell_length_b 4.7235
_cell_length_c 23.1118
_cell_angle_alpha 90.00
_cell_angle_beta 90.00
_cell_angle_gamma 120.00
loop_
_atom_site_label
_atom_site_type_symbol
_atom_site_fract_x
_atom_site_fract_y
_atom_site_fract_z
Tm1 Tm 0.0000 0.0000 0.1250
Tm2 Tm 0.0000 0.0000 0.3752
Ni1 Ni 0.0000 0.0000 0.0000
Ni2 Ni 0.0000 0.0000 0.2491
Os1 Os 0.0000 0.0000 0.5000
```

Record 4
Diffraction record for VNi14Os. The powder diffractogram is calculated, not measured: it uses a cell relaxed with PBE and Cu Ka.
No peak broadening, texture or thermal motion is included.

Top 10 peaks for 10° ≤ 2θ ≤ 90°, most intense first:
44.2 deg, rel. 100, hkl 2 0 2; 51.2 deg, rel. 32, hkl 2 2 0; 76.1 deg, rel. 18, hkl 2 2 4; 52.1 deg, rel. 15, hkl 0 0 4; 75.4 deg, rel. 9, hkl 4 0 0; 21.7 deg, rel. 9, hkl 1 0 1; 17.6 deg, rel. 7, hkl 1 0 0; 12.6 deg, rel. 5, hkl 0 0 1; 31.0 deg, rel. 4, hkl 1 0 2; 42.1 deg, rel. 3, hkl 2 1 1

Cell and atoms:
```
data_VNi14Os
_chemical_formula_sum 'V1 Ni14 Os1'
_space_group_name_H-M_alt 'P 4/m m m'
_space_group_IT_number 123
_space_group_name_Hall '-P 4 2'
_cell_length_a 5.0433
_cell_length_b 5.0433
_cell_length_c 7.0224
_cell_angle_alpha 90.00
_cell_angle_beta 90.00
_cell_angle_gamma 90.00
loop_
_atom_site_label
_atom_site_type_symbol
_atom_site_fract_x
_atom_site_fract_y
_atom_site_fract_z
V1 V 0.0000 0.0000 0.0000
Ni1 Ni 0.0000 0.0000 0.5000
Ni2 Ni 0.0000 0.5000 0.0000
Ni3 Ni 0.0000 0.5000 0.5000
Ni4 Ni 0.2488 0.2488 0.2501
Ni5 Ni 0.5000 0.5000 0.5000
Os1 Os 0.5000 0.5000 0.0000
```